Diffraction record for HgH5CSBr3. The PXRD pattern is calculated, not measured: it uses a structure optimized by DFT (PBE) and Cu Kα (weighted mean of Kα1 and Kα2).
Lines closer than 0.1° are merged.

Crystal structure
Lattice parameters (Å, degrees): 8.085 8.540 14.876 95.17 90.54 90.45
Element x y z (fractional)
Hg (0.000, 0.000, 0.000)
Hg (0.051, 0.358, 0.533)
Hg (0.495, 0.896, 0.026)
Hg (0.559, 0.455, 0.491)
H (0.084, 0.787, 0.337)
H (0.095, 0.373, 0.852)
H (0.155, 0.928, 0.428)
H (0.183, 0.994, 0.243)
H (0.220, 0.309, 0.737)
H (0.273, 0.754, 0.398)
H (0.347, 0.198, 0.878)
H (0.352, 0.823, 0.233)
H (0.381, 0.380, 0.947)
H (0.487, 0.961, 0.669)
H (0.505, 0.335, 0.849)
H (0.561, 0.763, 0.675)
H (0.626, 0.918, 0.758)
H (0.663, 0.583, 0.111)
H (0.711, 0.861, 0.536)
H (0.723, 0.333, 0.194)
H (0.787, 0.500, 0.271)
H (0.837, 0.435, 0.045)
H (0.870, 0.815, 0.633)
H (0.939, 0.371, 0.218)
C (0.192, 0.842, 0.372)
C (0.383, 0.322, 0.879)
C (0.591, 0.888, 0.687)
C (0.818, 0.424, 0.210)
S (0.237, 0.424, 0.812)
S (0.314, 0.949, 0.296)
S (0.765, 0.940, 0.620)
S (0.833, 0.550, 0.119)
Br (0.066, 0.627, 0.631)
Br (0.184, 0.133, 0.626)
Br (0.229, 0.879, 0.893)
Br (0.287, 0.373, 0.394)
Br (0.402, 0.640, 0.118)
Br (0.427, 0.155, 0.116)
Br (0.594, 0.434, 0.661)
Br (0.646, 0.720, 0.416)
Br (0.739, 0.776, 0.929)
Br (0.807, 0.239, 0.426)
Br (0.883, 0.260, 0.928)
Br (0.938, 0.999, 0.170)

The 8 most intense peaks (2θ = 15–90°), low angle first:
2θ (°)  I_rel
20.9  74
22.9  59
23.2  74
24.9  77
25.0  82
25.2  100
25.5  72
44.0  83